# 1
KCd9In4: calculated powder X-ray diffraction pattern (a wavelength of 1.5418 Å), based on a structure optimized by DFT (PBE).

Peak list (10 most intense, 10 to 90 degrees two-theta, in order of rising 2θ)
2θ/deg	I_rel
12.17	63
12.52	29
30.25	74
30.69	45
36.58	93
36.83	100
37.09	50
37.21	29
37.33	66
37.58	49

Atomic structure:
```
data_KCd9In4
_chemical_formula_sum 'K2 Cd18 In8'
_cell_length_a 10.1420
_cell_length_b 10.1420
_cell_length_c 10.1420
_cell_angle_alpha 119.07
_cell_angle_beta 119.07
_cell_angle_gamma 91.61
_space_group_name_H-M_alt 'P 1'
_space_group_IT_number 1
loop_
_space_group_symop_operation_xyz
'x,y,z'
loop_
_atom_site_label
_atom_site_fract_x
_atom_site_fract_y
_atom_site_fract_z
K1 0.2500 0.2500 0.0000
K2 0.7500 0.7500 0.0000
Cd1 0.0000 0.5000 0.5000
Cd2 0.0476 0.8018 0.8494
Cd3 0.0582 0.5582 0.2665
Cd4 0.1982 0.0476 0.2458
Cd5 0.2083 0.9418 0.5000
Cd6 0.2917 0.7917 0.7335
Cd7 0.3018 0.5476 0.8494
Cd8 0.4418 0.7083 0.5000
Cd9 0.4524 0.3018 0.7542
Cd10 0.5000 0.0000 0.5000
Cd11 0.5476 0.6982 0.2458
Cd12 0.5582 0.2917 0.5000
Cd13 0.6982 0.4524 0.1506
Cd14 0.7083 0.2083 0.2665
Cd15 0.7917 0.0582 0.5000
Cd16 0.8018 0.9524 0.7542
Cd17 0.9418 0.4418 0.7335
Cd18 0.9524 0.1982 0.1506
In1 0.0589 0.1906 0.5000
In2 0.1906 0.6906 0.1317
In3 0.3094 0.4411 0.5000
In4 0.4411 0.9411 0.1317
In5 0.5589 0.0589 0.8683
In6 0.6906 0.5589 0.5000
In7 0.8094 0.3094 0.8683
In8 0.9411 0.8094 0.5000
```

# 2
Rb3Cr2Cl9: calculated powder X-ray diffraction pattern (a wavelength of 1.5418 Å), based on a structure optimized by DFT (PBE).

Peak list (10 most intense, 10 to 90 degrees two-theta, in order of rising 2θ)
2θ/deg	I_rel
15.09	45
24.86	70
28.45	52
29.47	39
30.45	84
32.43	100
35.02	74
38.13	40
46.06	41
51.00	55

Atomic structure:
```
data_Rb3Cr2Cl9
_chemical_formula_sum 'Rb6 Cr4 Cl18'
_cell_length_a 7.1623
_cell_length_b 7.1623
_cell_length_c 18.1864
_cell_angle_alpha 90.00
_cell_angle_beta 90.00
_cell_angle_gamma 120.00
_space_group_name_H-M_alt 'P 1'
_space_group_IT_number 1
loop_
_space_group_symop_operation_xyz
'x,y,z'
loop_
_atom_site_label
_atom_site_fract_x
_atom_site_fract_y
_atom_site_fract_z
Rb1 0.0000 0.0000 0.2500
Rb2 0.0000 0.0000 0.7500
Rb3 0.3333 0.6667 0.0658
Rb4 0.3333 0.6667 0.4342
Rb5 0.6667 0.3333 0.5658
Rb6 0.6667 0.3333 0.9342
Cr1 0.3333 0.6667 0.6628
Cr2 0.3333 0.6667 0.8372
Cr3 0.6667 0.3333 0.1628
Cr4 0.6667 0.3333 0.3372
Cl1 0.0342 0.5171 0.7500
Cl2 0.1778 0.3555 0.5943
Cl3 0.1778 0.3555 0.9057
Cl4 0.1778 0.8222 0.5943
Cl5 0.1778 0.8222 0.9057
Cl6 0.3555 0.1778 0.0943
Cl7 0.3555 0.1778 0.4057
Cl8 0.4829 0.5171 0.7500
Cl9 0.4829 0.9658 0.7500
Cl10 0.5171 0.0342 0.2500
Cl11 0.5171 0.4829 0.2500
Cl12 0.6445 0.8222 0.5943
Cl13 0.6445 0.8222 0.9057
Cl14 0.8222 0.1778 0.0943
Cl15 0.8222 0.1778 0.4057
Cl16 0.8222 0.6445 0.0943
Cl17 0.8222 0.6445 0.4057
Cl18 0.9658 0.4829 0.2500
```

# 3
NaV2Zn2: calculated powder X-ray diffraction pattern (a wavelength of 1.5418 Å), based on a structure optimized by DFT (PBE).

Peak list (10 most intense, 10 to 90 degrees two-theta, in order of rising 2θ)
2θ/deg	I_rel
15.58	59
22.11	16
31.47	30
35.30	45
40.45	45
42.19	56
43.74	100
46.57	48
59.87	17
70.34	22

Atomic structure:
```
data_NaV2Zn2
_chemical_formula_sum 'Na2 V4 Zn4'
_cell_length_a 8.0412
_cell_length_b 8.0412
_cell_length_c 2.5308
_cell_angle_alpha 90.00
_cell_angle_beta 90.00
_cell_angle_gamma 90.00
_space_group_name_H-M_alt 'P 1'
_space_group_IT_number 1
loop_
_space_group_symop_operation_xyz
'x,y,z'
loop_
_atom_site_label
_atom_site_fract_x
_atom_site_fract_y
_atom_site_fract_z
Na1 0.0000 0.0000 0.0000
Na2 0.5000 0.5000 0.0000
V1 0.1037 0.3963 0.0000
V2 0.3963 0.8963 0.0000
V3 0.6037 0.1037 0.0000
V4 0.8963 0.6037 0.0000
Zn1 0.1878 0.6878 0.5000
Zn2 0.3122 0.1878 0.5000
Zn3 0.6878 0.8122 0.5000
Zn4 0.8122 0.3122 0.5000
```